Entry 1:
This entry pairs a crystal structure of CaCr2F10 with its calculated XRD peak list. Radiation: a wavelength of 1.5418 Å. Structure: a crystal structure in Alexandria, relaxed with GGA+U.

The 6 most intense peaks (10 to 80 degrees two-theta), low angle first:
- 17.36 deg, d 5.109, intensity 71
- 21.76 deg, d 4.083, intensity 70
- 27.25 deg, d 3.273, intensity 100
- 44.37 deg, d 2.042, intensity 25
- 48.15 deg, d 1.890, intensity 38
- 56.20 deg, d 1.637, intensity 17

Structural model:
Cell lengths 5.581, 5.581, 7.557 Å; angles 110.30, 110.30, 71.85 degrees
Sites, in units of the cell vectors:
Ca 0.000 0.000 0.000
Cr 0.536 0.456 0.746
Cr 0.544 0.464 0.254
F 0.257 0.725 0.799
F 0.275 0.743 0.201
F 0.293 0.257 0.132
F 0.338 0.224 0.634
F 0.472 0.528 0.500
F 0.617 0.383 0.000
F 0.743 0.707 0.868
F 0.776 0.662 0.366
F 0.795 0.164 0.270
F 0.836 0.205 0.730

---

Entry 2:
This entry pairs a crystal structure of CaCrF5 with its calculated XRD peak list. Radiation: a wavelength of 1.5418 Å. Structure: a crystal structure in Alexandria, relaxed with GGA+U.

The 6 most intense peaks (10 to 80 degrees two-theta), low angle first:
- 19.08 deg, d 4.651, intensity 44
- 24.34 deg, d 3.657, intensity 100
- 26.30 deg, d 3.388, intensity 79
- 30.40 deg, d 2.941, intensity 28
- 43.64 deg, d 2.074, intensity 34
- 47.59 deg, d 1.911, intensity 27

Structural model:
Cell lengths 5.550, 10.253, 7.645 Å; angles 90.00, 109.87, 90.00 degrees
Sites, in units of the cell vectors:
Ca 0.029 0.019 0.254
Ca 0.029 0.481 0.754
Ca 0.971 0.519 0.246
Ca 0.971 0.981 0.746
Cr 0.394 0.247 0.600
Cr 0.394 0.253 0.100
Cr 0.606 0.747 0.900
Cr 0.606 0.753 0.400
F 0.113 0.119 0.556
F 0.113 0.381 0.056
F 0.146 0.112 0.006
F 0.146 0.388 0.506
F 0.328 0.636 0.360
F 0.328 0.864 0.860
F 0.360 0.202 0.341
F 0.360 0.298 0.841
F 0.375 0.605 0.809
F 0.375 0.895 0.309
F 0.625 0.105 0.691
F 0.625 0.395 0.191
F 0.640 0.702 0.159
F 0.640 0.798 0.659
F 0.672 0.136 0.140
F 0.672 0.364 0.640
F 0.854 0.612 0.494
F 0.854 0.888 0.994
F 0.887 0.619 0.944
F 0.887 0.881 0.444

---

Q: Number 2 is which compound?
A: CaCrF5